This entry pairs a crystal structure of U3TlF13 with its simulated PXRD pattern. Radiation: λ = 1.5418 Å (Cu Kα). Structure: a crystal structure in the Materials Project, relaxed with GGA-PBE.

Crystal structure
Cell lengths 8.057, 7.398, 8.581 Å; angles 90.00, 90.00, 90.00 degrees
Fractional positions:
U  0.000  0.110  0.000
U  0.000  0.890  0.500
U  0.252  0.397  0.337
U  0.252  0.603  0.837
U  0.748  0.397  0.337
U  0.748  0.603  0.837
Tl  0.500  0.102  0.695
Tl  0.500  0.898  0.195
F  0.000  0.034  0.729
F  0.000  0.361  0.177
F  0.000  0.400  0.457
F  0.000  0.600  0.957
F  0.000  0.639  0.677
F  0.000  0.966  0.229
F  0.170  0.308  0.862
F  0.170  0.692  0.362
F  0.191  0.113  0.453
F  0.191  0.887  0.953
F  0.256  0.181  0.143
F  0.256  0.819  0.643
F  0.302  0.452  0.592
F  0.302  0.548  0.092
F  0.500  0.230  0.368
F  0.500  0.439  0.845
F  0.500  0.561  0.345
F  0.500  0.770  0.868
F  0.698  0.452  0.592
F  0.698  0.548  0.092
F  0.744  0.181  0.143
F  0.744  0.819  0.643
F  0.809  0.113  0.453
F  0.809  0.887  0.953
F  0.830  0.308  0.862
F  0.830  0.692  0.362

Largest 12 diffraction maxima, sorted by position, 15° ≤ 2θ ≤ 90°:
hkl	d [Å]	two_theta	I/Imax
1 1 1	4.600	19.30	41
1 0 2	3.787	23.49	42
0 1 2	3.710	23.98	61
2 1 0	3.538	25.17	100
0 2 1	3.397	26.24	77
1 1 2	3.371	26.44	35
2 1 1	3.271	27.26	60
1 2 1	3.130	28.52	32
2 0 2	2.937	30.44	38
2 3 1	2.043	44.34	49
2 2 3	1.973	46.00	76
2 0 4	1.894	48.04	30